1.
The following is a computed X-ray diffraction stick pattern of Li4MnSi2O7. It was derived from a cell relaxed with GGA+U, using a wavelength of 1.5418 Å.

Atomic structure:
```
14
Lattice="4.770 -2.297 0.000 4.770 2.297 0.000 -1.401 0.000 6.778" Properties=species:S:1:pos:R:3 pbc="T T T"
Li 0.811 0.000 2.983
Li 1.556 -0.064 5.769
Li 6.583 -0.064 1.009
Li 7.328 0.000 3.795
Mn 4.770 2.200 0.000
Si 3.635 -0.133 1.973
Si 4.504 -0.133 4.805
O 3.307 0.941 0.770
O 4.069 0.752 3.389
O 4.832 0.941 6.008
O 2.325 -1.028 2.319
O 3.194 -1.050 5.205
O 4.945 -1.050 1.573
O 5.814 -1.028 4.459
```

Top 10 peaks for 10 to 80 degrees two-theta, low angle first:
2θ (°), intensity
13.06, 18
19.00, 65
24.24, 84
25.25, 40
32.67, 22
35.11, 92
35.77, 100
57.79, 30
59.96, 29
60.16, 18

2.
The following is a computed X-ray diffraction stick pattern of LiFe4B4O12. It was derived from a cell relaxed with GGA+U, using a wavelength of 1.5418 Å.

Atomic structure:
```
42
Lattice="5.326 0.000 0.000 0.009 8.971 0.000 0.166 0.055 10.169" Properties=species:S:1:pos:R:3 pbc="T T T"
Li 0.000 0.000 0.000
Li 1.794 8.952 7.510
Fe 0.096 6.010 5.276
Fe 1.770 3.030 2.707
Fe 1.868 5.962 7.808
Fe 2.684 7.507 0.206
Fe 2.785 1.567 5.247
Fe 4.455 1.565 7.808
Fe 4.423 7.483 2.725
Fe 5.315 3.059 0.209
B 0.016 6.029 0.177
B 1.824 3.000 7.815
B 1.819 6.049 2.771
B 2.588 1.532 0.194
B 2.741 7.477 5.321
B 4.461 1.549 2.688
B 4.581 7.512 7.809
B 5.381 2.991 5.230
O 0.601 2.849 8.448
O 0.532 6.281 3.293
O 1.334 2.756 4.698
O 1.416 6.241 9.726
O 2.007 6.357 5.730
O 1.911 0.362 0.009
O 1.930 2.672 0.684
O 2.244 8.731 5.522
O 2.318 4.794 2.703
O 2.441 4.202 7.690
O 2.436 1.842 7.287
O 2.550 7.149 2.331
O 3.213 7.407 8.104
O 3.183 1.749 3.240
O 4.010 7.288 4.759
O 4.119 1.683 10.037
O 4.650 1.893 5.684
O 4.715 7.197 0.670
O 4.742 4.821 0.314
O 4.878 4.243 5.302
O 4.969 0.300 2.549
O 5.245 8.691 8.040
O 5.181 2.672 2.264
O 5.268 6.399 7.312
```

Top 10 peaks for 10 to 80 degrees two-theta, low angle first:
2θ (°), intensity
19.38, 50
19.79, 91
21.39, 100
21.64, 62
26.00, 77
26.34, 31
34.40, 68
35.30, 93
40.25, 44
49.28, 38

3.
The following is a computed X-ray diffraction stick pattern of MgAg6Mo10O33. It was derived from a cell relaxed with GGA+U, using a wavelength of 1.5418 Å.

Atomic structure:
```
50
Lattice="7.806 0.000 0.000 1.827 8.119 0.000 2.727 0.979 11.162" Properties=species:S:1:pos:R:3 pbc="T T T"
Mg 0.000 0.000 0.000
Ag 2.691 1.096 5.583
Ag 8.328 8.563 10.567
Ag 8.484 5.692 10.710
Ag 8.199 2.711 10.705
Ag 7.550 0.677 5.322
Ag 9.378 4.872 5.290
Mo 1.798 4.863 0.316
Mo 3.428 3.683 8.492
Mo 3.685 6.909 2.283
Mo 3.698 3.246 2.472
Mo 6.534 7.072 7.458
Mo 5.659 5.262 4.279
Mo 6.593 3.830 7.645
Mo 7.631 6.934 2.272
Mo 7.614 3.226 2.425
Mo 11.073 6.900 8.038
O 2.654 3.414 6.933
O 1.787 3.668 2.165
O 4.392 7.133 10.220
O 3.401 8.011 3.609
O 4.486 4.397 10.475
O 4.824 8.022 7.566
O 3.719 7.855 0.635
O 3.826 5.146 3.624
O 4.860 5.351 7.879
O 3.474 2.335 3.942
O 3.629 4.901 0.933
O 5.067 2.762 8.152
O 5.628 6.693 5.315
O 3.912 2.042 1.237
O 7.098 7.124 9.128
O 5.684 3.970 5.486
O 5.663 6.536 2.428
O 7.525 8.253 6.661
O 5.703 3.614 2.638
O 7.309 4.080 9.259
O 7.417 5.446 6.911
O 7.894 8.136 3.486
O 7.581 2.587 6.944
O 7.531 5.235 3.665
O 7.641 7.833 0.550
O 10.060 8.114 8.779
O 7.708 4.814 0.973
O 8.006 2.525 3.979
O 7.528 1.868 1.307
O 10.284 5.340 8.914
O 10.361 6.730 6.421
O 9.555 6.517 1.746
O 10.476 2.469 9.590
```

Top 10 peaks for 10 to 80 degrees two-theta, low angle first:
2θ (°), intensity
10.94, 46
24.34, 57
26.06, 100
26.84, 75
27.47, 72
28.37, 95
29.64, 48
30.12, 41
32.07, 50
36.25, 48

4.
The following is a computed X-ray diffraction stick pattern of Li4Nb3Co3Sn2O16. It was derived from a cell relaxed with GGA+U, using a wavelength of 1.5418 Å.

Atomic structure:
```
28
Lattice="5.268 -3.068 0.000 5.268 3.068 0.000 -0.089 0.000 10.032" Properties=species:S:1:pos:R:3 pbc="T T T"
Li 0.000 0.000 0.000
Li 0.180 0.000 5.137
Li 3.687 0.000 4.218
Li 7.148 0.000 9.029
Nb 1.994 0.000 7.380
Nb 6.449 1.509 2.282
Nb 6.449 -1.509 2.282
Co 4.530 1.479 7.285
Co 4.530 -1.479 7.285
Co 8.733 0.000 2.268
Sn 3.844 0.000 10.007
Sn 7.317 0.000 5.225
O 0.267 0.000 3.212
O 0.217 0.000 8.221
O 2.808 1.330 8.681
O 4.696 1.557 1.168
O 2.048 0.000 1.217
O 3.562 0.000 6.162
O 6.385 1.575 6.161
O 2.808 -1.330 8.681
O 5.265 0.000 8.551
O 7.901 1.398 3.643
O 5.648 0.000 3.440
O 7.035 0.000 1.047
O 4.696 -1.557 1.168
O 9.082 0.000 6.131
O 6.385 -1.575 6.161
O 7.901 -1.398 3.643
```

Top 10 peaks for 10 to 80 degrees two-theta, low angle first:
2θ (°), intensity
17.68, 30
18.93, 100
24.38, 23
31.70, 20
34.29, 41
34.55, 21
35.02, 39
43.49, 25
57.48, 21
60.78, 20

5.
The following is a computed X-ray diffraction stick pattern of CrP3O9. It was derived from a cell relaxed with GGA+U, using a wavelength of 1.5418 Å.

Atomic structure:
```
26
Lattice="5.710 -3.298 0.000 5.710 3.298 0.000 -0.038 0.000 9.624" Properties=species:S:1:pos:R:3 pbc="T T T"
Cr 5.691 3.289 4.812
Cr 5.710 -3.289 0.000
P 6.316 1.165 7.218
P 7.230 1.678 2.425
P 6.336 -1.165 2.407
P 9.225 0.519 7.198
P 7.211 -1.678 7.237
P 9.244 -0.519 2.386
O 7.084 2.458 1.152
O 5.727 1.672 8.502
O 5.711 1.649 5.932
O 7.114 2.428 3.721
O 7.908 1.423 7.210
O 6.212 0.428 2.421
O 6.193 -0.428 7.233
O 8.671 0.988 2.401
O 5.730 -1.649 1.121
O 9.938 0.779 5.902
O 9.969 0.797 8.472
O 5.746 -1.672 3.690
O 8.652 -0.988 7.212
O 7.927 -1.423 2.398
O 9.957 -0.779 1.090
O 7.095 -2.428 8.533
O 7.065 -2.458 5.964
O 9.988 -0.797 3.660
```

Top 10 peaks for 10 to 80 degrees two-theta, low angle first:
2θ (°), intensity
15.51, 100
18.44, 21
24.19, 71
28.62, 33
31.32, 10
32.90, 22
32.99, 10
36.57, 13
42.94, 14
57.27, 9

6.
The following is a computed X-ray diffraction stick pattern of MgNb2V2O8. It was derived from a cell relaxed with GGA+U, using a wavelength of 1.5418 Å.

Atomic structure:
```
13
Lattice="3.107 -7.000 0.000 3.107 7.000 0.000 -3.019 0.000 3.988" Properties=species:S:1:pos:R:3 pbc="T T T"
Mg 0.000 0.000 0.000
Nb 1.598 4.789 1.994
Nb 3.107 2.397 0.000
V 1.598 -2.378 1.994
V 3.107 -4.230 0.000
O 0.050 3.114 2.121
O 1.577 1.288 0.024
O -0.064 -1.015 1.698
O -1.434 -2.801 3.893
O 3.146 3.114 1.867
O 1.619 1.288 3.964
O 3.259 -1.015 2.290
O 4.629 -2.801 0.095
```

Top 10 peaks for 10 to 80 degrees two-theta, low angle first:
2θ (°), intensity
12.65, 99
19.00, 23
25.71, 100
26.51, 21
31.51, 38
38.57, 17
38.76, 65
45.49, 28
53.99, 21
54.58, 21

7.
The following is a computed X-ray diffraction stick pattern of LiFeP4O12. It was derived from a cell relaxed with GGA+U, using a wavelength of 1.5418 Å.

Atomic structure:
```
36
Lattice="4.710 -7.107 0.000 4.710 7.107 0.000 -1.827 0.000 7.527" Properties=species:S:1:pos:R:3 pbc="T T T"
Li 3.796 4.913 3.763
Li 4.710 -4.913 0.000
Fe 3.159 1.854 0.264
Fe 2.245 -1.854 4.028
P 2.414 4.663 6.632
P 0.737 1.057 4.633
P 1.650 -1.057 0.869
P 3.472 1.121 3.455
P 2.558 -1.121 7.218
P 5.850 2.396 4.694
P 3.328 -4.663 2.869
P 6.764 -2.396 0.931
O 2.520 4.794 5.167
O 0.417 1.764 5.922
O 3.470 5.691 7.285
O 1.745 0.455 0.875
O 2.093 1.699 4.035
O 2.576 3.294 7.291
O 0.831 -0.455 4.638
O 1.331 -1.764 2.158
O 3.811 1.855 2.185
O 5.485 3.861 4.410
O 2.523 0.387 7.182
O 3.006 -1.699 0.272
O 3.437 -0.387 3.419
O 4.492 1.543 4.609
O 2.898 -1.855 5.949
O 6.637 1.829 3.389
O 3.490 -3.294 3.528
O 5.406 -1.543 0.846
O 6.560 2.064 5.943
O 3.434 -4.794 1.404
O 5.723 -1.829 7.153
O 4.384 -5.691 3.521
O 6.399 -3.861 0.647
O 7.474 -2.064 2.180
```

Top 10 peaks for 10 to 80 degrees two-theta, low angle first:
2θ (°), intensity
11.50, 100
14.74, 37
17.16, 25
18.05, 54
19.39, 28
23.64, 30
23.79, 60
25.06, 45
34.25, 25
34.64, 20

8.
The following is a computed X-ray diffraction stick pattern of Mn3Co3Sn2O16. It was derived from a cell relaxed with GGA+U, using a wavelength of 1.5418 Å.

Atomic structure:
```
24
Lattice="4.953 -2.870 0.000 4.953 2.870 0.000 -0.173 0.000 9.424" Properties=species:S:1:pos:R:3 pbc="T T T"
Mn 0.000 0.000 0.000
Mn 4.036 1.426 4.718
Mn 4.036 -1.426 4.718
Co 7.416 -1.441 0.037
Co 7.416 1.441 0.037
Co 6.503 0.000 4.758
Sn 1.528 0.000 6.837
Sn 4.919 0.000 2.103
O 4.044 1.503 1.028
O 1.640 0.000 0.997
O 2.968 0.000 8.421
O 5.719 1.564 8.358
O 3.380 0.000 3.610
O 5.648 1.279 3.657
O 4.848 0.000 5.715
O 7.340 1.359 5.735
O 4.044 -1.503 1.028
O 6.668 0.000 0.979
O 5.648 -1.279 3.657
O 8.154 0.000 3.777
O 8.064 0.000 8.497
O 5.719 -1.564 8.358
O 7.340 -1.359 5.735
O 9.713 0.000 5.767
```

Top 10 peaks for 10 to 80 degrees two-theta, low angle first:
2θ (°), intensity
18.83, 33
20.12, 100
20.29, 60
20.41, 28
25.92, 30
36.47, 33
36.66, 32
37.01, 32
37.37, 32
65.20, 29